[1]
Simulated powder diffractogram of Ho5Te3Os for copper Kα, from a DFT-relaxed cell (GGA-PBE, OQMD).
Neutral-atom scattering factors, no anomalous dispersion.

Atomic structure:
```
data_Ho5Te3Os
_chemical_formula_sum 'Ho5 Te3 Os1'
_symmetry_space_group_name_H-M 'P -6 2 m'
_symmetry_Int_Tables_number 189
_symmetry_space_group_name_Hall 'P -6 -2'
_cell_length_a 8.6624
_cell_length_b 8.6624
_cell_length_c 3.7635
_cell_angle_alpha 90.00
_cell_angle_beta 90.00
_cell_angle_gamma 120.00
loop_
_atom_site_label
_atom_site_type_symbol
_atom_site_fract_x
_atom_site_fract_y
_atom_site_fract_z
Ho1 Ho 0.0000 0.2294 0.0000
Ho2 Ho 0.3333 0.6667 0.0000
Te1 Te 0.0000 0.5670 0.5000
Os1 Os 0.0000 0.0000 0.5000
```

Top 10 peaks for 15 to 90 degrees two-theta, in order of rising 2θ:
2theta	I/Imax	index
20.5	18	1 1 0
31.5	100	2 1 0
33.7	90	2 0 1
35.9	22	3 0 0
39.8	49	2 1 1
48.4	17	0 0 2
56.2	18	4 1 0
58.9	19	2 1 2
59.0	26	3 2 1
61.8	19	5 0 0

[2]
Simulated powder diffractogram of YHf2O3 for copper Kα, from a DFT-relaxed cell (GGA-PBE, OQMD).
Neutral-atom scattering factors, no anomalous dispersion.

Atomic structure:
```
data_YHf2O3
_chemical_formula_sum 'Y1 Hf2 O3'
_symmetry_space_group_name_H-M 'P -3 m 1'
_symmetry_Int_Tables_number 164
_symmetry_space_group_name_Hall '-P 3 2"'
_cell_length_a 3.2894
_cell_length_b 3.2894
_cell_length_c 7.9101
_cell_angle_alpha 90.00
_cell_angle_beta 90.00
_cell_angle_gamma 120.00
loop_
_atom_site_label
_atom_site_type_symbol
_atom_site_fract_x
_atom_site_fract_y
_atom_site_fract_z
Y1 Y 0.0000 0.0000 0.0000
Hf1 Hf 0.3333 0.6667 0.3452
O1 O 0.0000 0.0000 0.5000
O2 O 0.3333 0.6667 0.8050
```

Top 10 peaks for 15 to 90 degrees two-theta, in order of rising 2θ:
2theta	I/Imax	index
33.4	95	0 1 1
34.0	29	0 0 3
39.0	100	1 0 2
55.9	33	1 1 0
56.7	29	0 1 4
66.7	14	2 0 1
67.1	26	1 1 3
67.8	16	1 0 5
70.2	17	0 2 2
83.7	9	2 0 4

[3]
Simulated powder diffractogram of Sc2GeOs for copper Kα, from a DFT-relaxed cell (GGA-PBE, OQMD).
Neutral-atom scattering factors, no anomalous dispersion.

Atomic structure:
```
data_Sc2GeOs
_chemical_formula_sum 'Sc8 Ge4 Os4'
_symmetry_space_group_name_H-M 'F -4 3 m'
_symmetry_Int_Tables_number 216
_symmetry_space_group_name_Hall 'F -4 2 3'
_cell_length_a 6.434
_cell_length_b 6.434
_cell_length_c 6.434
_cell_angle_alpha 90.00
_cell_angle_beta 90.00
_cell_angle_gamma 90.00
loop_
_atom_site_label
_atom_site_type_symbol
_atom_site_fract_x
_atom_site_fract_y
_atom_site_fract_z
Sc1 Sc 0.000 0.000 0.000
Sc2 Sc 0.250 0.250 0.250
Ge1 Ge 0.000 0.000 0.500
Os1 Os 0.250 0.250 0.750
```

Top 10 peaks for 15 to 90 degrees two-theta, in order of rising 2θ:
2theta	I/Imax	index
24.0	41	1 1 1
27.7	13	2 0 0
39.6	100	2 2 0
46.8	22	3 1 1
57.3	17	4 0 0
63.0	10	3 3 1
64.8	5	4 2 0
71.9	33	4 2 2
77.0	7	5 1 1
85.3	11	4 4 0